Structure and computed X-ray diffraction stick pattern of Tm2Cu4Ni3 (the PBE geometry in OQMD; copper Kα).

The 12 most intense peaks (10 to 80 degrees two-theta), in order of rising 2θ:
30.22°, I = 246
35.66°, I = 261
37.18°, I = 312
37.36°, I = 369
42.11°, I = 340
42.81°, I = 1000
42.98°, I = 211
43.54°, I = 186
47.59°, I = 280
65.58°, I = 148
70.90°, I = 210
75.97°, I = 178

Unit cell a=7.5568 b=6.6878 c=4.9066 alpha=79.73 beta=60.56 gamma=39.71
Positions (direct):
1 Tm 0.1298 0.1298 0.8702
2 Tm 0.8702 0.8702 0.1298
3 Cu 0.1637 0.4985 0.5015
4 Cu 0.4985 0.1637 0.8363
5 Cu 0.5015 0.8363 0.1637
6 Cu 0.8363 0.5015 0.4985
7 Ni 0.0000 0.0000 0.5000
8 Ni 0.5000 0.5000 0.0000
9 Ni 0.5000 0.5000 0.5000